For Li4Ti3Nb2V3O16, the PBE+U geometry in Alexandria gives the calculated powder diffraction line list in this record (CuKα).
No peak broadening, texture or thermal motion is included.

Structure:
a b c (Å): 6.028 6.028 9.824
angles (deg): 90.09 90.09 59.43
Element x y z (fractional)
Li 0.000 0.000 0.000
Li 0.004 0.004 0.496
Li 0.346 0.346 0.410
Li 0.675 0.675 0.909
Ti 0.172 0.661 0.727
Ti 0.661 0.172 0.727
Ti 0.831 0.831 0.238
Nb 0.336 0.336 0.003
Nb 0.665 0.665 0.503
V 0.179 0.179 0.719
V 0.355 0.829 0.218
V 0.829 0.355 0.218
O 0.002 0.002 0.309
O 0.003 0.003 0.813
O 0.044 0.502 0.850
O 0.172 0.172 0.094
O 0.176 0.666 0.100
O 0.338 0.832 0.599
O 0.351 0.351 0.612
O 0.488 0.488 0.845
O 0.502 0.044 0.850
O 0.529 0.529 0.354
O 0.534 0.975 0.351
O 0.666 0.176 0.100
O 0.690 0.690 0.110
O 0.832 0.338 0.599
O 0.840 0.840 0.605
O 0.975 0.534 0.351

Top 8 peaks for 2θ = 10–90°, sorted by position:
two_theta	I/Imax
19.21	50.6
19.34	100.0
24.96	30.0
32.28	42.6
34.93	49.7
35.79	28.8
44.55	31.0
58.97	30.7

---

For Li4Nb5V3O16, the PBE+U geometry in Alexandria gives the calculated powder diffraction line list in this record (CuKα).
No peak broadening, texture or thermal motion is included.

Structure:
a b c (Å): 6.081 6.081 10.058
angles (deg): 90.20 90.20 59.58
Element x y z (fractional)
Li 0.000 0.000 0.000
Li 0.001 0.001 0.503
Li 0.328 0.328 0.585
Li 0.662 0.662 0.098
Nb 0.177 0.177 0.266
Nb 0.344 0.344 0.995
Nb 0.372 0.809 0.776
Nb 0.670 0.670 0.492
Nb 0.809 0.372 0.776
V 0.167 0.658 0.280
V 0.658 0.167 0.280
V 0.825 0.825 0.776
O 0.005 0.005 0.183
O 0.031 0.475 0.145
O 0.167 0.667 0.898
O 0.171 0.171 0.899
O 0.321 0.321 0.393
O 0.338 0.839 0.393
O 0.472 0.472 0.138
O 0.475 0.031 0.145
O 0.510 0.510 0.633
O 0.510 0.959 0.644
O 0.667 0.167 0.898
O 0.676 0.676 0.911
O 0.830 0.830 0.404
O 0.839 0.338 0.393
O 0.959 0.510 0.644
O 0.998 0.998 0.687

Top 8 peaks for 2θ = 10–90°, sorted by position:
two_theta	I/Imax
17.64	43.8
19.01	47.7
19.09	100.0
24.52	33.3
31.61	41.0
35.38	47.8
57.80	27.9
60.94	27.5

---

For Li3NbV3O8, the PBE+U geometry in Alexandria gives the calculated powder diffraction line list in this record (CuKα).
No peak broadening, texture or thermal motion is included.

Structure:
a b c (Å): 6.108 6.109 10.516
angles (deg): 73.51 73.38 60.03
Element x y z (fractional)
Li 0.000 0.000 0.000
Li 0.022 0.989 0.498
Li 0.266 0.738 0.257
Li 0.488 0.516 0.996
Li 0.512 0.501 0.500
Li 0.758 0.252 0.744
Nb 0.016 0.497 0.495
Nb 0.490 0.009 0.005
V 0.254 0.249 0.247
V 0.256 0.253 0.748
V 0.510 0.993 0.506
V 0.750 0.757 0.746
V 0.752 0.757 0.251
V 0.995 0.508 0.000
O 0.101 0.624 0.124
O 0.117 0.616 0.621
O 0.130 0.153 0.623
O 0.135 0.138 0.111
O 0.362 0.372 0.383
O 0.370 0.357 0.884
O 0.389 0.893 0.877
O 0.404 0.878 0.369
O 0.617 0.120 0.638
O 0.623 0.655 0.118
O 0.626 0.111 0.119
O 0.664 0.618 0.622
O 0.847 0.870 0.883
O 0.885 0.397 0.377
O 0.888 0.848 0.380
O 0.898 0.399 0.866

Top 8 peaks for 2θ = 10–90°, sorted by position:
two_theta	I/Imax
17.76	100.0
34.42	14.9
34.50	15.3
34.65	13.2
41.82	42.5
42.03	21.1
45.83	12.9
60.63	23.3

---

For Li2NbV3O8, the PBE+U geometry in Alexandria gives the calculated powder diffraction line list in this record (CuKα).
No peak broadening, texture or thermal motion is included.

Structure:
a b c (Å): 6.005 6.005 9.773
angles (deg): 90.00 90.00 120.00
Element x y z (fractional)
Li 0.000 0.000 0.000
Li 0.000 0.000 0.500
Li 0.333 0.667 0.408
Li 0.667 0.333 0.908
Nb 0.333 0.667 0.997
Nb 0.667 0.333 0.497
V 0.170 0.341 0.722
V 0.170 0.830 0.722
V 0.341 0.170 0.222
V 0.659 0.830 0.722
V 0.830 0.170 0.222
V 0.830 0.659 0.222
O 0.000 0.000 0.315
O 0.000 0.000 0.815
O 0.037 0.519 0.851
O 0.168 0.336 0.099
O 0.168 0.832 0.099
O 0.333 0.667 0.615
O 0.336 0.168 0.599
O 0.481 0.519 0.851
O 0.481 0.963 0.851
O 0.519 0.037 0.351
O 0.519 0.481 0.351
O 0.664 0.832 0.099
O 0.667 0.333 0.115
O 0.832 0.168 0.599
O 0.832 0.664 0.599
O 0.963 0.481 0.351

Top 8 peaks for 2θ = 10–90°, sorted by position:
two_theta	I/Imax
19.33	100.0
25.00	30.2
32.43	37.5
35.08	49.4
35.73	28.4
44.58	33.4
59.13	30.5
61.79	27.7